Diffraction record for Cs3Mn2HgCl9. The X-ray powder pattern is simulated, not measured: it uses a structure optimized by DFT (PBE) and Cu Kα (weighted mean of Kα1 and Kα2).
Lines closer than 0.1° are merged.

Structure:
Unit cell a=7.388 b=7.388 c=9.072 alpha=90.00 beta=90.00 gamma=120.00
Atoms (fractional coordinates):
Cs1 0.000 0.000 0.000
Cs2 0.333 0.667 0.666
Cs3 0.667 0.333 0.334
Mn1 0.333 0.667 0.160
Mn2 0.667 0.333 0.840
Hg1 0.000 0.000 0.500
Cl1 0.000 0.500 0.000
Cl2 0.173 0.346 0.323
Cl3 0.173 0.827 0.323
Cl4 0.346 0.173 0.677
Cl5 0.500 0.000 0.000
Cl6 0.500 0.500 0.000
Cl7 0.654 0.827 0.323
Cl8 0.827 0.173 0.677
Cl9 0.827 0.654 0.677

The 10 most intense peaks (2θ from 15° to 90°), in order of rising 2θ:
h k l, 2θ/deg, d_spacing, intensity
1 1 0, 24.07, 3.697, 100
0 2 1, 29.59, 3.018, 20
2 0 2, 34.30, 2.614, 60
1 2 2, 42.33, 2.135, 35
3 0 0, 42.38, 2.133, 11
2 2 0, 49.30, 1.849, 39
2 1 4, 55.58, 1.653, 22
0 4 2, 61.47, 1.508, 10
1 3 4, 66.91, 1.398, 12
2 3 2, 67.02, 1.396, 12